Structure and simulated powder XRD pattern of Ac2MnZnPd6 (DFT lattice parameters and positions (PBE); Cu Kα).
No peak broadening, texture or thermal motion is included.

Cell and atoms:
a b c (Å): 8.300 8.300 8.300
angles (deg): 41.60 41.60 41.60
Fractional coordinates of all 10 atoms:
Ac  0.220  0.220  0.220
Ac  0.780  0.780  0.780
Mn  0.500  0.500  0.500
Zn  0.000  0.000  0.000
Pd  0.246  0.751  0.751
Pd  0.249  0.249  0.754
Pd  0.249  0.754  0.249
Pd  0.751  0.246  0.751
Pd  0.751  0.751  0.246
Pd  0.754  0.249  0.249

Largest 12 diffraction maxima, most intense first, 5 to 70 degrees two-theta:
2theta	d/Å	I_rel
38.68	2.328	100
36.07	2.490	84
23.49	3.788	65
47.93	1.898	28
63.09	1.474	28
26.26	3.393	28
47.45	1.916	24
11.69	7.570	24
32.71	2.738	22
30.33	2.947	19
68.30	1.373	17
43.62	2.075	13

=====

Structure and simulated powder XRD pattern of MnSiB (DFT lattice parameters and positions (PBE); Cu Kα).
No peak broadening, texture or thermal motion is included.

Cell and atoms:
a b c (Å): 4.057 2.875 5.212
angles (deg): 90.00 100.95 90.00
Fractional coordinates of all 6 atoms:
Mn  0.170  0.250  0.183
Mn  0.830  0.750  0.817
Si  0.262  0.750  0.551
Si  0.738  0.250  0.449
B  0.368  0.750  0.958
B  0.632  0.250  0.042

Largest 12 diffraction maxima, most intense first, 5 to 70 degrees two-theta:
2theta	d/Å	I_rel
35.82	2.507	100
45.61	1.989	79
49.90	1.827	59
44.46	2.038	56
25.60	3.480	55
56.23	1.636	54
64.86	1.438	20
54.33	1.688	17
53.74	1.706	16
22.32	3.984	15
30.96	2.889	14
47.57	1.911	9

=====

Structure and simulated powder XRD pattern of SrCa2 (DFT lattice parameters and positions (PBE); Cu Kα).
No peak broadening, texture or thermal motion is included.

Cell and atoms:
a b c (Å): 7.437 7.437 23.964
angles (deg): 90.00 90.00 120.00
Fractional coordinates of all 24 atoms:
Sr  0.000  0.000  0.094
Sr  0.000  0.000  0.406
Sr  0.000  0.000  0.594
Sr  0.000  0.000  0.906
Sr  0.333  0.667  0.156
Sr  0.333  0.667  0.344
Sr  0.667  0.333  0.656
Sr  0.667  0.333  0.844
Ca  0.000  0.500  0.000
Ca  0.000  0.500  0.500
Ca  0.164  0.329  0.750
Ca  0.164  0.836  0.750
Ca  0.329  0.164  0.250
Ca  0.333  0.667  0.626
Ca  0.333  0.667  0.874
Ca  0.500  0.000  0.000
Ca  0.500  0.000  0.500
Ca  0.500  0.500  0.000
Ca  0.500  0.500  0.500
Ca  0.667  0.333  0.126
Ca  0.667  0.333  0.374
Ca  0.671  0.836  0.750
Ca  0.836  0.164  0.250
Ca  0.836  0.671  0.250

Largest 12 diffraction maxima, most intense first, 5 to 70 degrees two-theta:
2theta	d/Å	I_rel
28.25	3.159	100
26.26	3.394	66
23.93	3.718	53
28.71	3.110	47
43.54	2.079	31
49.00	1.859	28
44.85	2.021	27
47.28	1.923	25
27.96	3.192	20
29.87	2.991	18
23.13	3.845	16
29.55	3.023	15

=====

Question: Which formula does entry 1 have?
Answer: Ac2MnZnPd6